(1)
# PmHo3Se4
Theoretical XRD peak list, Cu Kα X-rays. Input: DFT lattice parameters and positions (PBE).

Cell lengths 8.297, 11.578, 4.034 Å; angles 90.00, 90.00, 90.00 degrees
Atoms (fractional coordinates):
Pm 0.000 0.000 0.000
Pm 0.500 0.500 0.000
Ho 0.000 0.500 0.000
Ho 0.250 0.250 0.500
Ho 0.250 0.750 0.500
Ho 0.500 0.000 0.000
Ho 0.750 0.250 0.500
Ho 0.750 0.750 0.500
Se 0.000 0.254 0.000
Se 0.000 0.746 0.000
Se 0.241 0.500 0.500
Se 0.259 0.000 0.500
Se 0.500 0.246 0.000
Se 0.500 0.754 0.000
Se 0.741 0.000 0.500
Se 0.759 0.500 0.500

Most intense lines, 5 to 70 degrees two-theta, in order of rising 2θ:
| d/Å | I_rel |
| --- | --- |
| 3.372 | 108 |
| 3.310 | 102 |
| 2.893 | 1000 |
| 2.074 | 128 |
| 2.046 | 494 |
| 2.017 | 119 |
| 1.758 | 36 |
| 1.750 | 18 |
| 1.731 | 34 |
| 1.686 | 133 |
| 1.655 | 127 |
| 1.446 | 120 |

(2)
# Pm2Ho3Se6
Theoretical XRD peak list, Cu Kα X-rays. Input: DFT lattice parameters and positions (PBE).

Cell lengths 7.082, 7.082, 7.121 Å; angles 99.58, 99.58, 119.76 degrees
Atoms (fractional coordinates):
Pm 0.165 0.835 0.000
Pm 0.835 0.165 0.000
Ho 0.000 0.000 0.500
Ho 0.334 0.666 0.500
Ho 0.666 0.334 0.500
Se 0.087 0.414 0.742
Se 0.259 0.259 0.255
Se 0.414 0.087 0.742
Se 0.586 0.913 0.258
Se 0.741 0.741 0.745
Se 0.913 0.586 0.258

Most intense lines, 5 to 70 degrees two-theta, in order of rising 2θ:
| d/Å | I_rel |
| --- | --- |
| 6.719 | 71 |
| 5.882 | 45 |
| 3.363 | 45 |
| 3.340 | 55 |
| 2.899 | 1000 |
| 2.054 | 371 |
| 2.049 | 246 |
| 2.042 | 122 |
| 1.680 | 65 |
| 1.676 | 67 |
| 1.670 | 129 |
| 1.449 | 80 |

(3)
# Pm3HoSe6
Theoretical XRD peak list, Cu Kα X-rays. Input: DFT lattice parameters and positions (PBE).

Cell lengths 8.547, 8.547, 8.547 Å; angles 91.16, 91.16, 91.16 degrees
Atoms (fractional coordinates):
Pm 0.070 0.747 0.579
Pm 0.253 0.421 0.930
Pm 0.421 0.930 0.253
Pm 0.579 0.070 0.747
Pm 0.747 0.579 0.070
Pm 0.930 0.253 0.421
Ho 0.000 0.000 0.000
Ho 0.500 0.500 0.500
Se 0.039 0.685 0.911
Se 0.089 0.961 0.315
Se 0.189 0.418 0.587
Se 0.315 0.089 0.961
Se 0.413 0.811 0.582
Se 0.418 0.587 0.189
Se 0.582 0.413 0.811
Se 0.587 0.189 0.418
Se 0.685 0.911 0.039
Se 0.811 0.582 0.413
Se 0.911 0.039 0.685
Se 0.961 0.315 0.089

Most intense lines, 5 to 70 degrees two-theta, in order of rising 2θ:
| d/Å | I_rel |
| --- | --- |
| 4.834 | 491 |
| 4.272 | 413 |
| 3.853 | 760 |
| 3.500 | 399 |
| 2.719 | 728 |
| 2.685 | 1000 |
| 2.307 | 823 |
| 2.280 | 208 |
| 2.247 | 363 |
| 2.082 | 200 |
| 1.895 | 205 |
| 1.750 | 201 |

(4)
# PmHo2Se4
Theoretical XRD peak list, Cu Kα X-rays. Input: DFT lattice parameters and positions (PBE).

Cell lengths 7.010, 7.010, 13.828 Å; angles 90.00, 90.00, 146.80 degrees
Atoms (fractional coordinates):
Pm 0.125 0.875 0.750
Pm 0.875 0.125 0.250
Ho 0.370 0.630 0.568
Ho 0.370 0.630 0.932
Ho 0.630 0.370 0.068
Ho 0.630 0.370 0.432
Se 0.000 0.000 0.000
Se 0.000 0.000 0.500
Se 0.274 0.726 0.120
Se 0.274 0.726 0.380
Se 0.463 0.537 0.750
Se 0.537 0.463 0.250
Se 0.726 0.274 0.620
Se 0.726 0.274 0.880

Most intense lines, 5 to 70 degrees two-theta, in order of rising 2θ:
| d/Å | I_rel |
| --- | --- |
| 3.801 | 1000 |
| 3.074 | 371 |
| 2.918 | 790 |
| 2.741 | 994 |
| 2.244 | 567 |
| 2.124 | 305 |
| 2.014 | 472 |
| 2.009 | 230 |
| 2.003 | 365 |
| 1.772 | 241 |
| 1.679 | 286 |
| 1.420 | 304 |

(5)
# PmHo4Se5
Theoretical XRD peak list, Cu Kα X-rays. Input: DFT lattice parameters and positions (PBE).

Cell lengths 14.783, 14.783, 14.783 Å; angles 164.14, 164.14, 22.50 degrees
Atoms (fractional coordinates):
Pm 0.000 0.000 0.000
Ho 0.204 0.204 0.000
Ho 0.403 0.403 0.000
Ho 0.597 0.597 0.000
Ho 0.796 0.796 0.000
Se 0.103 0.103 0.000
Se 0.303 0.303 0.000
Se 0.500 0.500 0.000
Se 0.697 0.697 0.000
Se 0.897 0.897 0.000

Most intense lines, 5 to 70 degrees two-theta, in order of rising 2θ:
| d/Å | I_rel |
| --- | --- |
| 3.336 | 314 |
| 2.900 | 489 |
| 2.884 | 1000 |
| 2.528 | 16 |
| 2.214 | 25 |
| 2.045 | 720 |
| 2.039 | 371 |
| 1.747 | 47 |
| 1.740 | 103 |
| 1.668 | 379 |
| 1.450 | 53 |
| 1.442 | 121 |

(6)
# PmHo3Se4
Theoretical XRD peak list, Cu Kα X-rays. Input: DFT lattice parameters and positions (PBE).

Cell lengths 5.791, 5.791, 5.791 Å; angles 90.00, 90.00, 90.00 degrees
Atoms (fractional coordinates):
Pm 0.000 0.000 0.000
Ho 0.000 0.500 0.500
Ho 0.500 0.000 0.500
Ho 0.500 0.500 0.000
Se 0.000 0.000 0.500
Se 0.000 0.500 0.000
Se 0.500 0.000 0.000
Se 0.500 0.500 0.500

Most intense lines, 5 to 70 degrees two-theta, in order of rising 2θ:
| d/Å | I_rel |
| --- | --- |
| 3.343 | 208 |
| 2.895 | 1000 |
| 2.047 | 742 |
| 1.746 | 103 |
| 1.672 | 261 |
| 1.448 | 121 |